The following is a theoretical powder XRD pattern of FeSiHgPt2. It was derived from a PBE-relaxed structure, using Cu Kα (λ = 1.5418 Å).
Neutral-atom scattering factors, no anomalous dispersion.

Largest 12 diffraction maxima, sorted by position, 2θ from 10° to 90°:
2θ/deg	intensity	index
17.59	51	1 0 0
18.73	100	0 0 1
25.81	22	1 0 1
31.40	35	1 1 1
35.61	77	2 0 0
37.99	32	0 0 2
40.53	60	2 0 1
51.24	28	2 2 0
53.05	50	2 0 2
55.04	25	2 2 1
65.54	26	2 2 2
89.30	14	4 2 1

Structure:
```
5
Lattice="5.043 0.000 0.000 0.000 5.043 0.000 0.000 0.000 4.736" Properties=species:S:1:pos:R:3 pbc="T T T"
Fe 0.000 0.000 0.000
Si 2.521 2.521 0.000
Hg 0.000 0.000 2.368
Pt 0.000 2.521 2.368
Pt 2.521 0.000 2.368
```